Simulated PXRD pattern
Compound: Mg2SbMoO6
Radiation: Cu Ka
Structure: the GGA+U geometry in Alexandria

a b c (Å): 5.3517 7.8093 5.4478
angles (deg): 90.00 90.64 90.00
Element x y z (fractional)
Mg1 0.0033 0.2500 0.4507
Mg2 0.4839 0.7500 0.0293
Mg3 0.5161 0.2500 0.9707
Mg4 0.9967 0.7500 0.5493
Sb1 0.5000 0.0000 0.5000
Sb2 0.5000 0.5000 0.5000
Mo1 0.0000 0.0000 0.0000
Mo2 0.0000 0.5000 0.0000
O1 0.1301 0.7500 0.9036
O2 0.1854 0.0698 0.6629
O3 0.1854 0.4302 0.6629
O4 0.3450 0.0697 0.1845
O5 0.3450 0.4303 0.1845
O6 0.3647 0.7500 0.4148
O7 0.6353 0.2500 0.5852
O8 0.6550 0.5697 0.8155
O9 0.6550 0.9303 0.8155
O10 0.8146 0.5698 0.3371
O11 0.8146 0.9302 0.3371
O12 0.8699 0.2500 0.0964

Principal peaks in the range 15° ≤ 2θ ≤ 90°, in order of rising 2θ:
2θ = 22.8°, I = 463, hkl 0 2 0
2θ = 23.2°, I = 422, hkl 1 0 -1
2θ = 23.4°, I = 420, hkl 1 0 1
2θ = 32.7°, I = 672, hkl 1 2 -1
2θ = 32.9°, I = 1000, hkl 1 2 1
2θ = 33.5°, I = 293, hkl 2 0 0
2θ = 58.5°, I = 307, hkl 2 4 0
2θ = 59.3°, I = 194, hkl 3 2 -1